Diffraction record for Y2Cl3. The powder X-ray diffraction pattern is calculated, not measured: it uses a DFT-relaxed cell (GGA-PBE, Alexandria) and Cu Kα.

Structural model:
a b c (Å): 8.1850 8.1850 10.4092
angles (deg): 119.18 119.18 27.26
Fractional coordinates of all 10 atoms:
Y1 0.0844 0.0844 0.4524
Y2 0.3621 0.3621 0.2097
Y3 0.6379 0.6379 0.7903
Y4 0.9156 0.9156 0.5476
Cl1 0.1620 0.1620 0.0063
Cl2 0.2765 0.2765 0.3818
Cl3 0.4577 0.4577 0.7605
Cl4 0.5423 0.5423 0.2395
Cl5 0.7235 0.7235 0.6182
Cl6 0.8380 0.8380 0.9937

Top 8 peaks for 15 to 90 degrees two-theta, low angle first:
| d_spacing | Position (°2θ) | I/Imax |
| --- | --- | --- |
| 3.280 | 27.18 | 100 |
| 3.077 | 29.02 | 63 |
| 2.692 | 33.29 | 82 |
| 2.562 | 35.02 | 42 |
| 2.550 | 35.20 | 55 |
| 2.443 | 36.79 | 48 |
| 2.302 | 39.14 | 38 |
| 1.992 | 45.54 | 37 |

=====

Diffraction record for Co3Ni6Pd. The powder X-ray diffraction pattern is calculated, not measured: it uses a DFT-relaxed cell (GGA-PBE, Alexandria) and Cu Kα.

Structural model:
a b c (Å): 7.9915 3.5517 8.0383
angles (deg): 90.00 90.34 90.00
Fractional coordinates of all 20 atoms:
Co1 0.0014 0.2500 0.2520
Co2 0.1980 0.7500 0.3482
Co3 0.3995 0.2500 0.4493
Co4 0.6005 0.7500 0.5507
Co5 0.8020 0.2500 0.6518
Co6 0.9986 0.7500 0.7480
Ni1 0.0929 0.7500 0.0529
Ni2 0.0981 0.2500 0.5454
Ni3 0.1893 0.2500 0.8403
Ni4 0.2910 0.2500 0.1590
Ni5 0.2959 0.7500 0.6375
Ni6 0.4977 0.7500 0.2635
Ni7 0.5023 0.2500 0.7365
Ni8 0.7041 0.2500 0.3625
Ni9 0.7090 0.7500 0.8410
Ni10 0.8107 0.7500 0.1597
Ni11 0.9019 0.7500 0.4546
Ni12 0.9071 0.2500 0.9471
Pd1 0.3909 0.7500 0.9437
Pd2 0.6091 0.2500 0.0563

Top 8 peaks for 15 to 90 degrees two-theta, low angle first:
| d_spacing | Position (°2θ) | I/Imax |
| --- | --- | --- |
| 2.522 | 35.59 | 3 |
| 2.063 | 43.89 | 100 |
| 1.800 | 50.73 | 16 |
| 1.785 | 51.18 | 15 |
| 1.776 | 51.46 | 16 |
| 1.267 | 74.94 | 9 |
| 1.264 | 75.16 | 9 |
| 1.259 | 75.53 | 9 |

=====

Diffraction record for Dy4Y6Er19. The powder X-ray diffraction pattern is calculated, not measured: it uses a DFT-relaxed cell (GGA-PBE, Alexandria) and Cu Kα.

Structural model:
a b c (Å): 10.7146 10.7146 10.7146
angles (deg): 109.47 109.47 109.47
Fractional coordinates of all 29 atoms:
Dy1 0.0000 0.0000 0.3580
Dy2 0.0000 0.3580 0.0000
Dy3 0.3580 0.0000 0.0000
Dy4 0.6420 0.6420 0.6420
Y1 0.1304 0.5000 0.6304
Y2 0.3696 0.8696 0.5000
Y3 0.5000 0.3696 0.8696
Y4 0.5000 0.6304 0.1304
Y5 0.6304 0.1304 0.5000
Y6 0.8696 0.5000 0.3696
Er1 0.0000 0.0000 0.0000
Er2 0.0000 0.2600 0.2600
Er3 0.0000 0.7400 0.7400
Er4 0.0173 0.2116 0.6773
Er5 0.1944 0.9827 0.6600
Er6 0.2116 0.6773 0.0173
Er7 0.2600 0.0000 0.2600
Er8 0.2600 0.2600 0.0000
Er9 0.3227 0.5343 0.3400
Er10 0.3400 0.3227 0.5343
Er11 0.4657 0.7884 0.8056
Er12 0.5343 0.3400 0.3227
Er13 0.6600 0.1944 0.9827
Er14 0.6773 0.0173 0.2116
Er15 0.7400 0.0000 0.7400
Er16 0.7400 0.7400 0.0000
Er17 0.7884 0.8056 0.4657
Er18 0.8056 0.4657 0.7884
Er19 0.9827 0.6600 0.1944

Top 8 peaks for 15 to 90 degrees two-theta, low angle first:
| d_spacing | Position (°2θ) | I/Imax |
| --- | --- | --- |
| 3.307 | 26.96 | 33 |
| 3.093 | 28.87 | 56 |
| 2.916 | 30.66 | 100 |
| 2.525 | 35.55 | 39 |
| 2.426 | 37.05 | 56 |
| 1.750 | 52.29 | 18 |
| 1.684 | 54.50 | 25 |
| 1.523 | 60.82 | 23 |

=====

Diffraction record for TbPmDy2Tm6. The powder X-ray diffraction pattern is calculated, not measured: it uses a DFT-relaxed cell (GGA-PBE, Alexandria) and Cu Kα.

Structural model:
a b c (Å): 8.7057 8.7057 9.4518
angles (deg): 93.73 93.73 117.85
Fractional coordinates of all 20 atoms:
Tb1 0.0908 0.9092 0.7500
Tb2 0.9092 0.0908 0.2500
Pm1 0.4752 0.5248 0.2500
Pm2 0.5248 0.4752 0.7500
Dy1 0.1976 0.3039 0.9543
Dy2 0.3039 0.1976 0.4543
Dy3 0.6961 0.8024 0.5457
Dy4 0.8024 0.6961 0.0457
Tm1 0.0081 0.7911 0.3820
Tm2 0.0690 0.5213 0.1827
Tm3 0.2089 0.9919 0.1180
Tm4 0.2487 0.6246 0.5578
Tm5 0.3754 0.7513 0.9422
Tm6 0.4787 0.9310 0.3173
Tm7 0.5213 0.0690 0.6827
Tm8 0.6246 0.2487 0.0578
Tm9 0.7513 0.3754 0.4422
Tm10 0.7911 0.0081 0.8820
Tm11 0.9310 0.4787 0.8173
Tm12 0.9919 0.2089 0.6180

Top 8 peaks for 15 to 90 degrees two-theta, low angle first:
| d_spacing | Position (°2θ) | I/Imax |
| --- | --- | --- |
| 3.092 | 28.87 | 35 |
| 2.885 | 31.00 | 100 |
| 2.828 | 31.63 | 43 |
| 2.819 | 31.74 | 59 |
| 2.799 | 31.97 | 33 |
| 2.738 | 32.70 | 19 |
| 2.614 | 34.31 | 45 |
| 1.537 | 60.21 | 14 |

=====

Diffraction record for Dy4Th2Sc. The powder X-ray diffraction pattern is calculated, not measured: it uses a DFT-relaxed cell (GGA-PBE, Alexandria) and Cu Kα.

Structural model:
a b c (Å): 6.7318 6.7431 6.7886
angles (deg): 119.23 118.89 90.27
Fractional coordinates of all 7 atoms:
Dy1 0.0257 0.4391 0.2368
Dy2 0.4371 0.0242 0.2352
Dy3 0.5629 0.9758 0.7648
Dy4 0.9743 0.5609 0.7632
Th1 0.4991 0.4990 0.2207
Th2 0.5009 0.5010 0.7793
Sc1 0.0000 0.0000 0.5000

Top 8 peaks for 15 to 90 degrees two-theta, low angle first:
| d_spacing | Position (°2θ) | I/Imax |
| --- | --- | --- |
| 5.590 | 15.85 | 72 |
| 2.889 | 30.96 | 48 |
| 2.864 | 31.23 | 25 |
| 2.795 | 32.02 | 100 |
| 2.771 | 32.31 | 39 |
| 2.760 | 32.44 | 39 |
| 2.462 | 36.50 | 34 |
| 2.376 | 37.86 | 30 |

=====

Diffraction record for Rb3Cu8Se6. The powder X-ray diffraction pattern is calculated, not measured: it uses a DFT-relaxed cell (GGA-PBE, Alexandria) and Cu Kα.

Structural model:
a b c (Å): 9.5237 9.5237 10.3842
angles (deg): 106.58 106.58 24.36
Fractional coordinates of all 17 atoms:
Rb1 0.0000 0.0000 0.0000
Rb2 0.1915 0.1915 0.3021
Rb3 0.8085 0.8085 0.6979
Cu1 0.0169 0.0169 0.6362
Cu2 0.1968 0.1968 0.9116
Cu3 0.3964 0.3964 0.2163
Cu4 0.4218 0.4218 0.4677
Cu5 0.5782 0.5782 0.5323
Cu6 0.6036 0.6036 0.7837
Cu7 0.8032 0.8032 0.0884
Cu8 0.9831 0.9831 0.3638
Se1 0.1524 0.1524 0.6505
Se2 0.3382 0.3382 0.9789
Se3 0.4630 0.4630 0.7078
Se4 0.5370 0.5370 0.2922
Se5 0.6618 0.6618 0.0211
Se6 0.8476 0.8476 0.3495

Top 8 peaks for 15 to 90 degrees two-theta, low angle first:
| d_spacing | Position (°2θ) | I/Imax |
| --- | --- | --- |
| 3.003 | 29.75 | 100 |
| 2.665 | 33.62 | 62 |
| 2.453 | 36.64 | 48 |
| 2.217 | 40.70 | 42 |
| 2.009 | 45.12 | 53 |
| 1.946 | 46.68 | 45 |
| 1.843 | 49.44 | 47 |
| 1.831 | 49.81 | 43 |

=====

Diffraction record for LaYTe2S. The powder X-ray diffraction pattern is calculated, not measured: it uses a DFT-relaxed cell (GGA-PBE, Alexandria) and Cu Kα.

Structural model:
a b c (Å): 4.5098 4.5098 15.7288
angles (deg): 90.00 90.00 90.00
Fractional coordinates of all 10 atoms:
La1 0.2500 0.2500 0.1057
La2 0.7500 0.7500 0.8943
Y1 0.2500 0.2500 0.6102
Y2 0.7500 0.7500 0.3898
Te1 0.2500 0.2500 0.4070
Te2 0.2500 0.2500 0.7943
Te3 0.7500 0.7500 0.2057
Te4 0.7500 0.7500 0.5930
S1 0.2500 0.7500 0.0000
S2 0.7500 0.2500 0.0000

Top 8 peaks for 15 to 90 degrees two-theta, low angle first:
| d_spacing | Position (°2θ) | I/Imax |
| --- | --- | --- |
| 3.932 | 22.61 | 18 |
| 3.419 | 26.06 | 77 |
| 3.189 | 27.98 | 100 |
| 2.477 | 36.27 | 37 |
| 2.266 | 39.77 | 26 |
| 2.255 | 39.98 | 50 |
| 2.025 | 44.75 | 21 |
| 1.882 | 48.35 | 29 |

=====

Diffraction record for Ac8Rh3. The powder X-ray diffraction pattern is calculated, not measured: it uses a DFT-relaxed cell (GGA-PBE, Alexandria) and Cu Kα.

Structural model:
a b c (Å): 7.4177 7.4177 7.4177
angles (deg): 89.90 89.90 89.90
Fractional coordinates of all 11 atoms:
Ac1 0.1584 0.1584 0.1584
Ac2 0.1589 0.3363 0.6608
Ac3 0.3363 0.6608 0.1589
Ac4 0.3392 0.8411 0.6637
Ac5 0.6608 0.1589 0.3363
Ac6 0.6637 0.3392 0.8411
Ac7 0.8411 0.6637 0.3392
Ac8 0.8416 0.8416 0.8416
Rh1 0.0000 0.0000 0.5000
Rh2 0.0000 0.5000 0.0000
Rh3 0.5000 0.0000 0.0000

Top 8 peaks for 15 to 90 degrees two-theta, low angle first:
| d_spacing | Position (°2θ) | I/Imax |
| --- | --- | --- |
| 3.317 | 26.88 | 100 |
| 3.029 | 29.49 | 45 |
| 2.622 | 34.19 | 12 |
| 2.473 | 36.33 | 18 |
| 2.237 | 40.32 | 25 |
| 1.983 | 45.76 | 39 |
| 1.981 | 45.81 | 10 |
| 1.427 | 65.42 | 10 |

=====

Diffraction record for Li3Sb2Pb. The powder X-ray diffraction pattern is calculated, not measured: it uses a DFT-relaxed cell (GGA-PBE, Alexandria) and Cu Kα.

Structural model:
a b c (Å): 8.3175 8.3175 3.3351
angles (deg): 90.00 90.00 144.77
Fractional coordinates of all 6 atoms:
Li1 0.0000 0.0000 0.0000
Li2 0.3099 0.6901 0.0000
Li3 0.6901 0.3099 0.0000
Sb1 0.1506 0.8494 0.5000
Sb2 0.8494 0.1506 0.5000
Pb1 0.5000 0.5000 0.5000

Top 8 peaks for 15 to 90 degrees two-theta, low angle first:
| d_spacing | Position (°2θ) | I/Imax |
| --- | --- | --- |
| 3.645 | 24.42 | 100 |
| 3.335 | 26.73 | 42 |
| 2.642 | 33.92 | 21 |
| 2.517 | 35.67 | 23 |
| 2.461 | 36.52 | 81 |
| 2.071 | 43.70 | 19 |
| 2.009 | 45.13 | 21 |
| 1.599 | 57.64 | 26 |

=====

Diffraction record for TbZn4Au4. The powder X-ray diffraction pattern is calculated, not measured: it uses a DFT-relaxed cell (GGA-PBE, Alexandria) and Cu Kα.

Structural model:
a b c (Å): 6.4150 6.4150 6.4150
angles (deg): 98.05 98.05 136.05
Fractional coordinates of all 9 atoms:
Tb1 0.0000 0.0000 0.0000
Zn1 0.2776 0.3827 0.6602
Zn2 0.3827 0.7224 0.1051
Zn3 0.6173 0.2776 0.8949
Zn4 0.7224 0.6173 0.3398
Au1 0.0764 0.6543 0.7307
Au2 0.3457 0.0764 0.4221
Au3 0.6543 0.9236 0.5779
Au4 0.9236 0.3457 0.2693

Top 8 peaks for 15 to 90 degrees two-theta, low angle first:
| d_spacing | Position (°2θ) | I/Imax |
| --- | --- | --- |
| 2.961 | 30.18 | 63 |
| 2.660 | 33.69 | 86 |
| 2.422 | 37.13 | 95 |
| 2.400 | 37.47 | 63 |
| 2.099 | 43.10 | 100 |
| 1.782 | 51.26 | 53 |
| 1.329 | 70.89 | 43 |
| 1.267 | 74.93 | 27 |

=====

Diffraction record for Na2ZrSi6O19. The powder X-ray diffraction pattern is calculated, not measured: it uses a DFT-relaxed cell (GGA-PBE, Alexandria) and Cu Kα.

Structural model:
a b c (Å): 7.4244 7.4244 6.9028
angles (deg): 97.27 97.27 88.70
Fractional coordinates of all 28 atoms:
Na1 0.2483 0.2483 0.0132
Na2 0.7517 0.7517 0.9868
Zr1 0.2366 0.7634 0.0000
Si1 0.4746 0.0007 0.7123
Si2 0.4798 0.4192 0.7106
Si3 0.5808 0.5202 0.2894
Si4 0.8999 0.0098 0.7160
Si5 0.9902 0.1001 0.2840
Si6 0.9993 0.5254 0.2877
O1 0.0164 0.8413 0.7982
O2 0.0503 0.3164 0.3121
O3 0.0505 0.5954 0.0930
O4 0.1587 0.9836 0.2018
O5 0.1689 0.6155 0.4732
O6 0.1970 0.8030 0.5000
O7 0.3213 0.5425 0.8048
O8 0.3845 0.8311 0.5268
O9 0.4046 0.9495 0.9070
O10 0.4122 0.2040 0.6698
O11 0.4575 0.6787 0.1952
O12 0.5320 0.4680 0.5000
O13 0.5491 0.3377 0.1259
O14 0.6623 0.4509 0.8741
O15 0.6836 0.9497 0.6879
O16 0.7960 0.5878 0.3302
O17 0.8101 0.0591 0.1202
O18 0.9409 0.1899 0.8798
O19 0.9436 0.0564 0.5000

Top 8 peaks for 15 to 90 degrees two-theta, low angle first:
| d_spacing | Position (°2θ) | I/Imax |
| --- | --- | --- |
| 5.226 | 16.97 | 67 |
| 4.710 | 18.84 | 98 |
| 3.285 | 27.15 | 100 |
| 3.242 | 27.51 | 58 |
| 3.188 | 27.99 | 35 |
| 3.080 | 28.99 | 76 |
| 2.668 | 33.59 | 58 |
| 2.355 | 38.22 | 33 |

=====

Diffraction record for Mg4Pd. The powder X-ray diffraction pattern is calculated, not measured: it uses a DFT-relaxed cell (GGA-PBE, Alexandria) and Cu Kα.

Structural model:
a b c (Å): 7.6088 7.6088 7.6088
angles (deg): 135.67 135.67 64.49
Fractional coordinates of all 10 atoms:
Mg1 0.0637 0.1975 0.3522
Mg2 0.2115 0.5637 0.3662
Mg3 0.3025 0.1547 0.8662
Mg4 0.3453 0.7115 0.1478
Mg5 0.6547 0.2885 0.8522
Mg6 0.6975 0.8453 0.1338
Mg7 0.7885 0.4363 0.6338
Mg8 0.9363 0.8025 0.6478
Pd1 0.3750 0.1250 0.2500
Pd2 0.6250 0.8750 0.7500

Top 8 peaks for 15 to 90 degrees two-theta, low angle first:
| d_spacing | Position (°2θ) | I/Imax |
| --- | --- | --- |
| 5.243 | 16.91 | 97 |
| 3.434 | 25.95 | 100 |
| 2.519 | 35.65 | 76 |
| 2.349 | 38.32 | 30 |
| 2.203 | 40.96 | 47 |
| 2.142 | 42.19 | 34 |
| 1.895 | 48.00 | 25 |
| 1.747 | 52.36 | 41 |

=====

What did the eighth record say?
Diffraction record for Ac8Rh3. The powder X-ray diffraction pattern is calculated, not measured: it uses a DFT-relaxed cell (GGA-PBE, Alexandria) and Cu Kα.

Structural model:
a b c (Å): 7.4177 7.4177 7.4177
angles (deg): 89.90 89.90 89.90
Fractional coordinates of all 11 atoms:
Ac1 0.1584 0.1584 0.1584
Ac2 0.1589 0.3363 0.6608
Ac3 0.3363 0.6608 0.1589
Ac4 0.3392 0.8411 0.6637
Ac5 0.6608 0.1589 0.3363
Ac6 0.6637 0.3392 0.8411
Ac7 0.8411 0.6637 0.3392
Ac8 0.8416 0.8416 0.8416
Rh1 0.0000 0.0000 0.5000
Rh2 0.0000 0.5000 0.0000
Rh3 0.5000 0.0000 0.0000

Top 8 peaks for 15 to 90 degrees two-theta, low angle first:
| d_spacing | Position (°2θ) | I/Imax |
| --- | --- | --- |
| 3.317 | 26.88 | 100 |
| 3.029 | 29.49 | 45 |
| 2.622 | 34.19 | 12 |
| 2.473 | 36.33 | 18 |
| 2.237 | 40.32 | 25 |
| 1.983 | 45.76 | 39 |
| 1.981 | 45.81 | 10 |
| 1.427 | 65.42 | 10 |